For Al2NiO4, a structure optimized by DFT (PBE+U) gives the theoretical XRD peak list in this record (Cu Kα (λ = 1.5418 Å)).
Peak positions follow from Bragg's law for the DFT cell and can differ from measured ones.

Structural model:
Cell: 5.753 5.889 8.049 Å, 90.00 90.00 90.00°
Sites, in units of the cell vectors:
Al: 0.000 0.000 0.000
Al: 0.000 0.499 0.000
Al: 0.250 0.250 0.750
Al: 0.250 0.750 0.250
Al: 0.500 0.000 0.500
Al: 0.500 0.501 0.500
Al: 0.750 0.250 0.750
Al: 0.750 0.750 0.250
Ni: 0.000 0.249 0.368
Ni: 0.000 0.750 0.632
Ni: 0.500 0.250 0.132
Ni: 0.500 0.751 0.868
O: 0.000 0.034 0.762
O: 0.000 0.466 0.762
O: 0.000 0.534 0.238
O: 0.000 0.965 0.237
O: 0.221 0.250 0.989
O: 0.221 0.749 0.010
O: 0.279 0.251 0.510
O: 0.279 0.750 0.489
O: 0.500 0.035 0.737
O: 0.500 0.466 0.738
O: 0.500 0.534 0.262
O: 0.500 0.966 0.262
O: 0.721 0.251 0.510
O: 0.721 0.750 0.489
O: 0.779 0.250 0.989
O: 0.779 0.749 0.010

Main lines, low angle first (5° ≤ 2θ ≤ 70°):
| two_theta | I/Imax |
| --- | --- |
| 30.36 | 22 |
| 31.09 | 100 |
| 36.04 | 54 |
| 36.51 | 56 |
| 36.81 | 25 |
| 36.97 | 33 |
| 54.39 | 13 |
| 55.31 | 19 |
| 58.03 | 24 |
| 58.58 | 21 |
| 63.16 | 14 |
| 64.81 | 67 |

For V3Cr2CuP6O24, a structure optimized by DFT (PBE+U) gives the theoretical XRD peak list in this record (Cu Kα (λ = 1.5418 Å)).
Peak positions follow from Bragg's law for the DFT cell and can differ from measured ones.

Structural model:
Cell: 8.475 8.475 8.475 Å, 61.39 61.39 61.39°
Sites, in units of the cell vectors:
V: 0.000 0.000 0.000
V: 0.213 0.213 0.213
V: 0.502 0.502 0.502
Cr: 0.358 0.358 0.358
Cr: 0.856 0.856 0.856
Cu: 0.710 0.710 0.710
P: 0.107 0.814 0.405
P: 0.311 0.609 0.903
P: 0.405 0.107 0.814
P: 0.609 0.903 0.311
P: 0.814 0.405 0.107
P: 0.903 0.311 0.609
O: 0.043 0.850 0.247
O: 0.103 0.288 0.446
O: 0.107 0.764 0.915
O: 0.186 0.969 0.353
O: 0.247 0.043 0.850
O: 0.269 0.614 0.420
O: 0.288 0.446 0.103
O: 0.353 0.186 0.969
O: 0.355 0.542 0.741
O: 0.420 0.269 0.614
O: 0.446 0.103 0.288
O: 0.459 0.676 0.877
O: 0.542 0.741 0.355
O: 0.603 0.954 0.807
O: 0.614 0.420 0.269
O: 0.676 0.877 0.459
O: 0.741 0.355 0.542
O: 0.764 0.915 0.107
O: 0.807 0.603 0.954
O: 0.850 0.247 0.043
O: 0.877 0.459 0.676
O: 0.915 0.107 0.764
O: 0.954 0.807 0.603
O: 0.969 0.353 0.186

Main lines, low angle first (5° ≤ 2θ ≤ 70°):
| two_theta | I/Imax |
| --- | --- |
| 20.53 | 74 |
| 20.97 | 10 |
| 24.34 | 100 |
| 25.31 | 14 |
| 31.90 | 16 |
| 33.38 | 64 |
| 35.96 | 36 |
| 47.82 | 26 |
| 49.87 | 25 |
| 56.26 | 21 |
| 57.01 | 13 |
| 63.00 | 19 |

For Li2MnVP3O12, a structure optimized by DFT (PBE+U) gives the theoretical XRD peak list in this record (Cu Kα (λ = 1.5418 Å)).
Peak positions follow from Bragg's law for the DFT cell and can differ from measured ones.

Structural model:
Cell: 8.331 8.366 8.889 Å, 90.02 116.53 119.37°
Sites, in units of the cell vectors:
Li: 0.000 0.000 0.000
Li: 0.106 0.473 0.255
Li: 0.244 0.662 0.980
Li: 0.457 0.064 0.271
Mn: 0.344 0.889 0.564
Mn: 0.760 0.586 0.692
V: 0.373 0.392 0.083
V: 0.752 0.081 0.171
P: 0.264 0.200 0.382
P: 0.268 0.994 0.879
P: 0.551 0.776 0.375
P: 0.556 0.704 0.870
P: 0.835 0.480 0.377
P: 0.857 0.278 0.881
O: 0.043 0.600 0.377
O: 0.051 0.866 0.868
O: 0.057 0.259 0.952
O: 0.069 0.220 0.316
O: 0.202 0.998 0.400
O: 0.253 0.947 0.707
O: 0.313 0.205 0.226
O: 0.349 0.208 0.933
O: 0.364 0.584 0.223
O: 0.409 0.577 0.940
O: 0.420 0.727 0.698
O: 0.426 0.953 0.030
O: 0.431 0.864 0.391
O: 0.454 0.359 0.545
O: 0.662 0.517 0.238
O: 0.671 0.128 0.711
O: 0.677 0.619 0.853
O: 0.686 0.753 0.543
O: 0.695 0.915 0.305
O: 0.739 0.903 0.014
O: 0.741 0.263 0.313
O: 0.800 0.253 0.033
O: 0.861 0.528 0.556
O: 0.938 0.487 0.877

Main lines, low angle first (5° ≤ 2θ ≤ 70°):
| two_theta | I/Imax |
| --- | --- |
| 14.21 | 51 |
| 14.59 | 100 |
| 19.48 | 43 |
| 19.69 | 50 |
| 20.11 | 45 |
| 23.76 | 46 |
| 24.06 | 37 |
| 24.35 | 39 |
| 24.51 | 35 |
| 24.64 | 37 |
| 29.42 | 68 |
| 32.25 | 41 |

For VOF, a structure optimized by DFT (PBE+U) gives the theoretical XRD peak list in this record (Cu Kα (λ = 1.5418 Å)).
Peak positions follow from Bragg's law for the DFT cell and can differ from measured ones.

Structural model:
Cell: 3.333 3.780 10.060 Å, 90.00 90.00 90.00°
Sites, in units of the cell vectors:
V: 0.230 0.015 0.399
V: 0.270 0.985 0.899
V: 0.730 0.485 0.601
V: 0.770 0.515 0.101
O: 0.228 0.506 0.480
O: 0.272 0.494 0.980
O: 0.728 0.994 0.520
O: 0.772 0.006 0.020
F: 0.244 0.315 0.723
F: 0.256 0.685 0.223
F: 0.744 0.185 0.277
F: 0.756 0.815 0.777

Main lines, low angle first (5° ≤ 2θ ≤ 70°):
| two_theta | I/Imax |
| --- | --- |
| 17.63 | 15 |
| 29.56 | 100 |
| 32.22 | 76 |
| 35.92 | 18 |
| 45.18 | 42 |
| 48.14 | 15 |
| 51.54 | 62 |
| 51.66 | 15 |
| 55.11 | 23 |
| 59.11 | 33 |
| 63.78 | 18 |
| 67.23 | 15 |

For Li3NiP2O8, a structure optimized by DFT (PBE+U) gives the theoretical XRD peak list in this record (Cu Kα (λ = 1.5418 Å)).
Peak positions follow from Bragg's law for the DFT cell and can differ from measured ones.

Structural model:
Cell: 4.952 17.983 7.858 Å, 90.00 126.59 90.00°
Sites, in units of the cell vectors:
Li: 0.019 0.058 0.233
Li: 0.019 0.442 0.733
Li: 0.274 0.115 0.000
Li: 0.274 0.385 0.500
Li: 0.375 0.701 0.689
Li: 0.375 0.799 0.189
Li: 0.625 0.201 0.811
Li: 0.625 0.299 0.311
Li: 0.726 0.615 0.500
Li: 0.726 0.885 0.000
Li: 0.981 0.558 0.267
Li: 0.981 0.942 0.767
Ni: 0.172 0.627 0.974
Ni: 0.172 0.873 0.474
Ni: 0.828 0.127 0.526
Ni: 0.828 0.373 0.026
P: 0.122 0.216 0.300
P: 0.122 0.284 0.800
P: 0.479 0.533 0.765
P: 0.479 0.967 0.265
P: 0.521 0.033 0.735
P: 0.521 0.467 0.235
P: 0.878 0.716 0.200
P: 0.878 0.784 0.700
O: 0.034 0.172 0.104
O: 0.034 0.328 0.604
O: 0.162 0.702 0.175
O: 0.162 0.798 0.675
O: 0.170 0.561 0.756
O: 0.170 0.939 0.256
O: 0.171 0.199 0.780
O: 0.171 0.301 0.280
O: 0.189 0.066 0.542
O: 0.189 0.434 0.042
O: 0.419 0.558 0.556
O: 0.419 0.942 0.056
O: 0.465 0.190 0.502
O: 0.465 0.310 0.002
O: 0.480 0.053 0.275
O: 0.480 0.447 0.775
O: 0.520 0.553 0.225
O: 0.520 0.947 0.725
O: 0.535 0.690 0.998
O: 0.535 0.810 0.498
O: 0.581 0.058 0.944
O: 0.581 0.442 0.444
O: 0.811 0.566 0.958
O: 0.811 0.934 0.458
O: 0.829 0.699 0.720
O: 0.829 0.801 0.220
O: 0.830 0.061 0.744
O: 0.830 0.439 0.244
O: 0.838 0.202 0.325
O: 0.838 0.298 0.825
O: 0.966 0.672 0.396
O: 0.966 0.828 0.896

Main lines, low angle first (5° ≤ 2θ ≤ 70°):
| two_theta | I/Imax |
| --- | --- |
| 14.88 | 100 |
| 20.45 | 71 |
| 23.84 | 32 |
| 24.31 | 39 |
| 24.48 | 62 |
| 25.36 | 59 |
| 26.91 | 33 |
| 34.74 | 77 |
| 35.00 | 73 |
| 36.67 | 21 |
| 61.91 | 25 |
| 62.72 | 26 |

For Nd2CoO4, a structure optimized by DFT (PBE+U) gives the theoretical XRD peak list in this record (Cu Kα (λ = 1.5418 Å)).
Peak positions follow from Bragg's law for the DFT cell and can differ from measured ones.

Structural model:
Cell: 3.864 3.864 12.530 Å, 90.00 90.00 90.00°
Sites, in units of the cell vectors:
Nd: 0.000 0.000 0.137
Nd: 0.000 0.000 0.863
Nd: 0.500 0.500 0.363
Nd: 0.500 0.500 0.637
Co: 0.000 0.000 0.500
Co: 0.500 0.500 0.000
O: 0.000 0.000 0.319
O: 0.000 0.000 0.681
O: 0.000 0.500 0.000
O: 0.000 0.500 0.500
O: 0.500 0.000 0.000
O: 0.500 0.000 0.500
O: 0.500 0.500 0.181
O: 0.500 0.500 0.819

Main lines, low angle first (5° ≤ 2θ ≤ 70°):
| two_theta | I/Imax |
| --- | --- |
| 24.10 | 32 |
| 28.49 | 15 |
| 31.54 | 100 |
| 32.78 | 74 |
| 43.02 | 23 |
| 43.98 | 33 |
| 47.04 | 37 |
| 55.92 | 10 |
| 56.67 | 13 |
| 57.74 | 37 |
| 65.63 | 12 |
| 68.72 | 11 |

For Li5Mn4O8, a structure optimized by DFT (PBE+U) gives the theoretical XRD peak list in this record (Cu Kα (λ = 1.5418 Å)).
Peak positions follow from Bragg's law for the DFT cell and can differ from measured ones.

Structural model:
Cell: 5.812 6.340 10.396 Å, 81.18 73.82 62.85°
Sites, in units of the cell vectors:
Li: 0.000 0.000 0.000
Li: 0.014 0.039 0.504
Li: 0.048 0.395 0.538
Li: 0.207 0.659 0.473
Li: 0.297 0.708 0.265
Li: 0.391 0.759 0.058
Li: 0.549 0.023 0.992
Li: 0.584 0.379 0.027
Li: 0.598 0.417 0.531
Li: 0.798 0.210 0.765
Mn: 0.047 0.464 0.013
Mn: 0.298 0.209 0.266
Mn: 0.299 0.209 0.765
Mn: 0.299 0.709 0.765
Mn: 0.550 0.953 0.517
Mn: 0.798 0.709 0.265
Mn: 0.798 0.709 0.765
Mn: 0.799 0.209 0.265
O: 0.162 0.570 0.654
O: 0.183 0.576 0.126
O: 0.190 0.071 0.147
O: 0.191 0.082 0.643
O: 0.406 0.336 0.888
O: 0.407 0.346 0.384
O: 0.414 0.842 0.405
O: 0.435 0.848 0.877
O: 0.650 0.094 0.639
O: 0.656 0.087 0.147
O: 0.676 0.589 0.650
O: 0.695 0.557 0.131
O: 0.903 0.860 0.399
O: 0.921 0.829 0.881
O: 0.941 0.330 0.383
O: 0.947 0.323 0.892

Main lines, low angle first (5° ≤ 2θ ≤ 70°):
| two_theta | I/Imax |
| --- | --- |
| 17.80 | 100 |
| 31.68 | 28 |
| 35.77 | 28 |
| 36.02 | 15 |
| 37.10 | 46 |
| 44.09 | 54 |
| 44.72 | 9 |
| 49.55 | 6 |
| 57.99 | 6 |
| 58.90 | 30 |
| 59.09 | 10 |
| 64.11 | 15 |

For MgCo4O8, a structure optimized by DFT (PBE+U) gives the theoretical XRD peak list in this record (Cu Kα (λ = 1.5418 Å)).
Peak positions follow from Bragg's law for the DFT cell and can differ from measured ones.

Structural model:
Cell: 5.774 5.774 5.911 Å, 119.38 119.38 60.34°
Sites, in units of the cell vectors:
Mg: 0.000 0.000 0.000
Co: 0.000 0.500 0.000
Co: 0.500 0.000 0.000
Co: 0.500 0.500 0.000
Co: 0.500 0.500 0.500
O: 0.247 0.710 0.204
O: 0.248 0.248 0.202
O: 0.269 0.269 0.804
O: 0.290 0.753 0.796
O: 0.710 0.247 0.204
O: 0.731 0.731 0.196
O: 0.752 0.752 0.798
O: 0.753 0.290 0.796

Main lines, low angle first (5° ≤ 2θ ≤ 70°):
| two_theta | I/Imax |
| --- | --- |
| 18.23 | 100 |
| 18.73 | 91 |
| 36.07 | 17 |
| 36.30 | 25 |
| 36.94 | 12 |
| 37.98 | 26 |
| 43.73 | 78 |
| 44.06 | 38 |
| 57.37 | 11 |
| 63.07 | 19 |
| 64.19 | 11 |
| 64.56 | 21 |

For Rb2TlFeF6, a structure optimized by DFT (PBE+U) gives the theoretical XRD peak list in this record (Cu Kα (λ = 1.5418 Å)).
Peak positions follow from Bragg's law for the DFT cell and can differ from measured ones.

Structural model:
Cell: 6.408 6.408 6.408 Å, 60.00 60.00 60.00°
Sites, in units of the cell vectors:
Rb: 0.250 0.250 0.250
Rb: 0.750 0.750 0.750
Tl: 0.000 0.000 0.000
Fe: 0.500 0.500 0.500
F: 0.291 0.291 0.709
F: 0.291 0.709 0.291
F: 0.291 0.709 0.709
F: 0.709 0.291 0.291
F: 0.709 0.291 0.709
F: 0.709 0.709 0.291

Main lines, low angle first (5° ≤ 2θ ≤ 70°):
| two_theta | I/Imax |
| --- | --- |
| 16.94 | 14 |
| 19.59 | 13 |
| 27.84 | 100 |
| 32.77 | 17 |
| 39.78 | 33 |
| 43.53 | 13 |
| 44.72 | 4 |
| 49.26 | 38 |
| 52.46 | 5 |
| 57.53 | 20 |
| 60.43 | 5 |
| 65.09 | 21 |